1.
Structure and calculated PXRD pattern of BaNaEuWO6 (a GGA+U-relaxed structure; Cu Kα).

```
data_BaNaEuWO6
_chemical_formula_sum 'Ba4 Na4 Eu4 W4 O24'
_symmetry_space_group_name_H-M 'P n n n'
_symmetry_Int_Tables_number 48
_cell_length_a 8.4281
_cell_length_b 8.4634
_cell_length_c 8.4771
_cell_angle_alpha 90.00
_cell_angle_beta 90.00
_cell_angle_gamma 90.00
loop_
_symmetry_equiv_pos_as_xyz
'x,y,z'
'-x,-y,-z'
'-x+1/2,-y+1/2,z'
'x+1/2,y+1/2,-z'
'x,-y+1/2,-z+1/2'
'-x,y+1/2,z+1/2'
'-x+1/2,y,-z+1/2'
'x+1/2,-y,z+1/2'
loop_
_atom_site_label
_atom_site_type_symbol
_atom_site_fract_x
_atom_site_fract_y
_atom_site_fract_z
_atom_site_occupancy
Ba1 Ba 0.2500 0.2500 0.2500 1
Ba2 Ba 0.2500 0.7500 0.2500 1
Na1 Na 0.2500 0.2500 0.7500 1
Na2 Na 0.2500 0.7500 0.7500 1
Eu1 Eu 0.0000 0.0000 0.0000 1
W1 W 0.0000 0.0000 0.5000 1
O1 O 0.0301 0.0165 0.2715 1
O2 O 0.0391 0.2274 0.5240 1
O3 O 0.2276 0.5418 0.9810 1
```

Most intense lines, 10° ≤ 2θ ≤ 80°, low angle first:
- hkl 1 0 1, 2θ = 14.82°, rel. 10
- hkl 0 0 2, 2θ = 20.98°, rel. 17
- hkl 2 2 0, 2θ = 29.89°, rel. 100
- hkl 0 0 4, 2θ = 42.70°, rel. 19
- hkl 4 0 0, 2θ = 42.92°, rel. 9
- hkl 2 4 2, 2θ = 53.01°, rel. 28
- hkl 4 2 2, 2θ = 53.15°, rel. 14
- hkl 4 0 4, 2θ = 62.15°, rel. 11



2.
Structure and calculated PXRD pattern of BaSmEuWO6 (a GGA+U-relaxed structure; Cu Kα).

```
data_BaSmEuWO6
_chemical_formula_sum 'Ba2 Sm2 Eu2 W2 O12'
_symmetry_space_group_name_H-M 'P -4 n 2'
_symmetry_Int_Tables_number 118
_cell_length_a 5.9106
_cell_length_b 5.9106
_cell_length_c 8.7208
_cell_angle_alpha 90.00
_cell_angle_beta 90.00
_cell_angle_gamma 90.00
loop_
_symmetry_equiv_pos_as_xyz
'x,y,z'
'y,-x,-z'
'-x,-y,z'
'-y,x,-z'
'-x+1/2,y+1/2,z+1/2'
'-y+1/2,-x+1/2,-z+1/2'
'x+1/2,-y+1/2,z+1/2'
'y+1/2,x+1/2,-z+1/2'
loop_
_atom_site_label
_atom_site_type_symbol
_atom_site_fract_x
_atom_site_fract_y
_atom_site_fract_z
_atom_site_occupancy
Ba1 Ba 0.0000 0.5000 0.2500 1
Sm1 Sm 0.0000 0.0000 0.0000 1
Eu1 Eu 0.0000 0.5000 0.7500 1
W1 W 0.0000 0.0000 0.5000 1
O1 O 0.0000 0.0000 0.2624 1
O2 O 0.1656 0.2975 0.5135 1
```

Most intense lines, 10° ≤ 2θ ≤ 80°, low angle first:
- hkl 1 1 2, 2θ = 29.61°, rel. 100
- hkl 2 0 0, 2θ = 30.24°, rel. 53
- hkl 0 0 4, 2θ = 41.42°, rel. 15
- hkl 2 2 0, 2θ = 43.30°, rel. 25
- hkl 2 0 4, 2θ = 52.13°, rel. 23
- hkl 3 1 2, 2θ = 53.33°, rel. 44
- hkl 2 2 4, 2θ = 61.46°, rel. 17
- hkl 4 2 0, 2θ = 71.37°, rel. 10



3.
Structure and calculated PXRD pattern of BaSmEuWO6 (a GGA+U-relaxed structure; Cu Kα).

```
data_BaSmEuWO6
_chemical_formula_sum 'Ba4 Sm4 Eu4 W4 O24'
_symmetry_space_group_name_H-M 'F -4 3 m'
_symmetry_Int_Tables_number 216
_symmetry_space_group_name_Hall 'F -4 2 3'
_cell_length_a 8.5623
_cell_length_b 8.5623
_cell_length_c 8.5623
_cell_angle_alpha 90.00
_cell_angle_beta 90.00
_cell_angle_gamma 90.00
loop_
_atom_site_label
_atom_site_type_symbol
_atom_site_fract_x
_atom_site_fract_y
_atom_site_fract_z
_atom_site_occupancy
Ba1 Ba 0.0000 0.0000 0.0000 1
Sm1 Sm 0.2500 0.2500 0.7500 1
Eu1 Eu 0.0000 0.0000 0.5000 1
W1 W 0.2500 0.2500 0.2500 1
O1 O 0.0168 0.2500 0.2500 1
```

Most intense lines, 10° ≤ 2θ ≤ 80°, low angle first:
- hkl 1 1 1, 2θ = 17.94°, rel. 1
- hkl 2 0 0, 2θ = 20.75°, rel. 2
- hkl 2 2 0, 2θ = 29.51°, rel. 100
- hkl 4 0 0, 2θ = 42.22°, rel. 28
- hkl 4 2 2, 2θ = 52.35°, rel. 41
- hkl 4 4 0, 2θ = 61.24°, rel. 18
- hkl 6 2 0, 2θ = 69.42°, rel. 18
- hkl 4 4 4, 2θ = 77.19°, rel. 6



4.
Structure and calculated PXRD pattern of BaSmEuWO6 (a GGA+U-relaxed structure; Cu Kα).

```
data_BaSmEuWO6
_chemical_formula_sum 'Ba2 Sm2 Eu2 W2 O12'
_symmetry_space_group_name_H-M 'P -1'
_symmetry_Int_Tables_number 2
_cell_length_a 5.9796
_cell_length_b 6.0561
_cell_length_c 8.4448
_cell_angle_alpha 90.13
_cell_angle_beta 90.37
_cell_angle_gamma 90.19
loop_
_symmetry_equiv_pos_as_xyz
'x,y,z'
'-x,-y,-z'
loop_
_atom_site_label
_atom_site_type_symbol
_atom_site_fract_x
_atom_site_fract_y
_atom_site_fract_z
_atom_site_occupancy
Ba1 Ba 0.0103 0.0390 0.2521 1
Sm1 Sm 0.0000 0.5000 0.5000 1
Sm2 Sm 0.5000 0.0000 0.0000 1
Eu1 Eu 0.4888 0.5460 0.2553 1
W1 W 0.0000 0.5000 0.0000 1
W2 W 0.5000 0.0000 0.5000 1
O1 O 0.0929 0.5031 0.7695 1
O2 O 0.1997 0.7626 0.0455 1
O3 O 0.2317 0.7973 0.4633 1
O4 O 0.2753 0.3088 0.0448 1
O5 O 0.3140 0.2800 0.4546 1
O6 O 0.4344 0.0276 0.7279 1
```

Most intense lines, 10° ≤ 2θ ≤ 80°, low angle first:
- hkl 0 2 0, 2θ = 29.50°, rel. 31
- hkl 1 -1 2, 2θ = 29.77°, rel. 100
- hkl 2 0 0, 2θ = 29.91°, rel. 65
- hkl 2 -2 0, 2θ = 42.42°, rel. 15
- hkl 2 2 0, 2θ = 42.56°, rel. 16
- hkl 0 0 4, 2θ = 42.84°, rel. 17
- hkl 1 -3 2, 2θ = 52.48°, rel. 16
- hkl 2 0 -4, 2θ = 52.92°, rel. 22



5.
Structure and calculated PXRD pattern of BaEuSnWO6 (a GGA+U-relaxed structure; Cu Kα).

```
data_BaEuSnWO6
_chemical_formula_sum 'Ba4 Eu4 Sn4 W4 O24'
_symmetry_space_group_name_H-M 'P 2 2 2'
_symmetry_Int_Tables_number 16
_cell_length_a 8.5821
_cell_length_b 8.6323
_cell_length_c 8.6734
_cell_angle_alpha 90.00
_cell_angle_beta 90.00
_cell_angle_gamma 90.00
loop_
_symmetry_equiv_pos_as_xyz
'x,y,z'
'-x,-y,z'
'x,-y,-z'
'-x,y,-z'
loop_
_atom_site_label
_atom_site_type_symbol
_atom_site_fract_x
_atom_site_fract_y
_atom_site_fract_z
_atom_site_occupancy
Ba1 Ba 0.0000 0.0000 0.0000 1
Ba2 Ba 0.0000 0.5000 0.0000 1
Ba3 Ba 0.5000 0.0000 0.0000 1
Ba4 Ba 0.5000 0.5000 0.5000 1
Eu1 Eu 0.0000 0.0000 0.5000 1
Eu2 Eu 0.0000 0.5000 0.5000 1
Eu3 Eu 0.5000 0.0000 0.5000 1
Eu4 Eu 0.5000 0.5000 0.0000 1
Sn1 Sn 0.2482 0.2383 0.7327 1
W1 W 0.2466 0.2465 0.2610 1
O1 O 0.0254 0.1946 0.3055 1
O2 O 0.1980 0.2648 0.0476 1
O3 O 0.2023 0.4566 0.3131 1
O4 O 0.2898 0.0166 0.2348 1
O5 O 0.3034 0.2088 0.4878 1
O6 O 0.4638 0.2990 0.2172 1
```

Most intense lines, 10° ≤ 2θ ≤ 80°, low angle first:
- hkl 2 0 2, 2θ = 29.24°, rel. 100
- hkl 2 2 0, 2θ = 29.35°, rel. 51
- hkl 0 0 4, 2θ = 41.65°, rel. 12
- hkl 0 4 0, 2θ = 41.86°, rel. 13
- hkl 4 0 0, 2θ = 42.12°, rel. 12
- hkl 2 2 4, 2θ = 51.77°, rel. 21
- hkl 2 4 2, 2θ = 51.90°, rel. 22
- hkl 4 2 2, 2θ = 52.06°, rel. 22



6.
Structure and calculated PXRD pattern of BaEuSnWO6 (a GGA+U-relaxed structure; Cu Kα).

```
data_BaEuSnWO6
_chemical_formula_sum 'Ba4 Eu4 Sn4 W4 O24'
_symmetry_space_group_name_H-M 'F -4 3 m'
_symmetry_Int_Tables_number 216
_symmetry_space_group_name_Hall 'F -4 2 3'
_cell_length_a 8.6559
_cell_length_b 8.6559
_cell_length_c 8.6559
_cell_angle_alpha 90.00
_cell_angle_beta 90.00
_cell_angle_gamma 90.00
loop_
_atom_site_label
_atom_site_type_symbol
_atom_site_fract_x
_atom_site_fract_y
_atom_site_fract_z
_atom_site_occupancy
Ba1 Ba 0.0000 0.0000 0.0000 1
Eu1 Eu 0.0000 0.0000 0.5000 1
Sn1 Sn 0.2500 0.2500 0.7500 1
W1 W 0.2500 0.2500 0.2500 1
O1 O 0.0241 0.2500 0.2500 1
```

Most intense lines, 10° ≤ 2θ ≤ 80°, low angle first:
- hkl 1 1 1, 2θ = 17.75°, rel. 4
- hkl 2 2 0, 2θ = 29.18°, rel. 100
- hkl 3 1 1, 2θ = 34.36°, rel. 1
- hkl 4 0 0, 2θ = 41.74°, rel. 28
- hkl 4 2 2, 2θ = 51.74°, rel. 41
- hkl 4 4 0, 2θ = 60.51°, rel. 18
- hkl 6 2 0, 2θ = 68.57°, rel. 19
- hkl 4 4 4, 2θ = 76.20°, rel. 6



7.
Structure and calculated PXRD pattern of BaEuSnWO6 (a GGA+U-relaxed structure; Cu Kα).

```
data_BaEuSnWO6
_chemical_formula_sum 'Ba2 Eu2 Sn2 W2 O12'
_symmetry_space_group_name_H-M 'P -1'
_symmetry_Int_Tables_number 2
_cell_length_a 6.0287
_cell_length_b 6.0919
_cell_length_c 8.5768
_cell_angle_alpha 90.87
_cell_angle_beta 90.66
_cell_angle_gamma 90.70
loop_
_symmetry_equiv_pos_as_xyz
'x,y,z'
'-x,-y,-z'
loop_
_atom_site_label
_atom_site_type_symbol
_atom_site_fract_x
_atom_site_fract_y
_atom_site_fract_z
_atom_site_occupancy
Ba1 Ba 0.0051 0.0386 0.2509 1
Eu1 Eu 0.4882 0.5451 0.2550 1
Sn1 Sn 0.0000 0.5000 0.5000 1
Sn2 Sn 0.5000 0.0000 0.0000 1
W1 W 0.0000 0.5000 0.0000 1
W2 W 0.5000 0.0000 0.5000 1
O1 O 0.1104 0.5091 0.7835 1
O2 O 0.1774 0.7637 0.0486 1
O3 O 0.2347 0.8177 0.4638 1
O4 O 0.2586 0.3229 0.0607 1
O5 O 0.3361 0.2704 0.4464 1
O6 O 0.4244 0.0481 0.7200 1
```

Most intense lines, 10° ≤ 2θ ≤ 80°, low angle first:
- hkl 1 -1 2, 2θ = 29.32°, rel. 100
- hkl -1 1 2, 2θ = 29.42°, rel. 34
- hkl 2 0 0, 2θ = 29.64°, rel. 33
- hkl 1 1 2, 2θ = 29.85°, rel. 32
- hkl 2 -2 0, 2θ = 41.91°, rel. 15
- hkl 0 0 4, 2θ = 42.15°, rel. 17
- hkl 2 2 0, 2θ = 42.46°, rel. 15
- hkl 0 2 -4, 2θ = 51.74°, rel. 14



8.
Structure and calculated PXRD pattern of BaSrEuWO6 (a GGA+U-relaxed structure; Cu Kα).

```
data_BaSrEuWO6
_chemical_formula_sum 'Ba2 Sr2 Eu2 W2 O12'
_symmetry_space_group_name_H-M 'P -4 n 2'
_symmetry_Int_Tables_number 118
_cell_length_a 6.0005
_cell_length_b 6.0005
_cell_length_c 8.7523
_cell_angle_alpha 90.00
_cell_angle_beta 90.00
_cell_angle_gamma 90.00
loop_
_symmetry_equiv_pos_as_xyz
'x,y,z'
'y,-x,-z'
'-x,-y,z'
'-y,x,-z'
'-x+1/2,y+1/2,z+1/2'
'-y+1/2,-x+1/2,-z+1/2'
'x+1/2,-y+1/2,z+1/2'
'y+1/2,x+1/2,-z+1/2'
loop_
_atom_site_label
_atom_site_type_symbol
_atom_site_fract_x
_atom_site_fract_y
_atom_site_fract_z
_atom_site_occupancy
Ba1 Ba 0.0000 0.5000 0.2500 1
Sr1 Sr 0.0000 0.5000 0.7500 1
Eu1 Eu 0.0000 0.0000 0.0000 1
W1 W 0.0000 0.0000 0.5000 1
O1 O 0.0000 0.0000 0.2724 1
O2 O 0.1623 0.2858 0.5118 1
```

Most intense lines, 10° ≤ 2θ ≤ 80°, low angle first:
- hkl 1 1 2, 2θ = 29.32°, rel. 100
- hkl 2 0 0, 2θ = 29.78°, rel. 54
- hkl 0 0 4, 2θ = 41.26°, rel. 16
- hkl 2 2 0, 2θ = 42.62°, rel. 26
- hkl 2 0 4, 2θ = 51.71°, rel. 23
- hkl 3 1 2, 2θ = 52.57°, rel. 44
- hkl 2 2 4, 2θ = 60.81°, rel. 17
- hkl 4 2 0, 2θ = 70.14°, rel. 11



9.
Structure and calculated PXRD pattern of BaSrEuWO6 (a GGA+U-relaxed structure; Cu Kα).

```
data_BaSrEuWO6
_chemical_formula_sum 'Ba2 Sr2 Eu2 W2 O12'
_symmetry_space_group_name_H-M 'P -1'
_symmetry_Int_Tables_number 2
_cell_length_a 6.0401
_cell_length_b 6.1028
_cell_length_c 8.5800
_cell_angle_alpha 90.43
_cell_angle_beta 90.43
_cell_angle_gamma 90.17
loop_
_symmetry_equiv_pos_as_xyz
'x,y,z'
'-x,-y,-z'
loop_
_atom_site_label
_atom_site_type_symbol
_atom_site_fract_x
_atom_site_fract_y
_atom_site_fract_z
_atom_site_occupancy
Ba1 Ba 0.0036 0.0291 0.2502 1
Sr1 Sr 0.4916 0.5411 0.2506 1
Eu1 Eu 0.0000 0.5000 0.5000 1
Eu2 Eu 0.5000 0.0000 0.0000 1
W1 W 0.0000 0.5000 0.0000 1
W2 W 0.5000 0.0000 0.5000 1
O1 O 0.0853 0.5079 0.7768 1
O2 O 0.1889 0.7598 0.0425 1
O3 O 0.2369 0.8103 0.4720 1
O4 O 0.2593 0.3100 0.0448 1
O5 O 0.3174 0.2629 0.4546 1
O6 O 0.4353 0.0375 0.7247 1
```

Most intense lines, 10° ≤ 2θ ≤ 80°, low angle first:
- hkl 1 1 0, 2θ = 20.70°, rel. 27
- hkl 1 1 -2, 2θ = 29.28°, rel. 98
- hkl 1 -1 2, 2θ = 29.41°, rel. 100
- hkl 1 1 2, 2θ = 29.60°, rel. 96
- hkl 0 0 4, 2θ = 42.08°, rel. 50
- hkl 2 2 0, 2θ = 42.16°, rel. 25
- hkl 0 2 -4, 2θ = 51.88°, rel. 29
- hkl 3 1 -2, 2θ = 52.26°, rel. 41



10.
Structure and calculated PXRD pattern of BaSrEuWO6 (a GGA+U-relaxed structure; Cu Kα).

```
data_BaSrEuWO6
_chemical_formula_sum 'Ba2 Sr2 Eu2 W2 O12'
_symmetry_space_group_name_H-M 'P -1'
_symmetry_Int_Tables_number 2
_cell_length_a 6.0323
_cell_length_b 6.1272
_cell_length_c 8.5876
_cell_angle_alpha 91.35
_cell_angle_beta 90.73
_cell_angle_gamma 90.43
loop_
_symmetry_equiv_pos_as_xyz
'x,y,z'
'-x,-y,-z'
loop_
_atom_site_label
_atom_site_type_symbol
_atom_site_fract_x
_atom_site_fract_y
_atom_site_fract_z
_atom_site_occupancy
Ba1 Ba 0.0073 0.0403 0.2515 1
Sr1 Sr 0.0000 0.5000 0.5000 1
Sr2 Sr 0.5000 0.0000 0.0000 1
Eu1 Eu 0.4890 0.5506 0.2535 1
W1 W 0.0000 0.5000 0.0000 1
W2 W 0.5000 0.0000 0.5000 1
O1 O 0.1069 0.5128 0.7829 1
O2 O 0.1777 0.7627 0.0501 1
O3 O 0.2374 0.8160 0.4592 1
O4 O 0.2621 0.3260 0.0563 1
O5 O 0.3350 0.2692 0.4481 1
O6 O 0.4238 0.0471 0.7205 1
```

Most intense lines, 10° ≤ 2θ ≤ 80°, low angle first:
- hkl 1 1 -2, 2θ = 29.12°, rel. 100
- hkl 1 -1 2, 2θ = 29.24°, rel. 54
- hkl -1 1 2, 2θ = 29.46°, rel. 51
- hkl 2 0 0, 2θ = 29.62°, rel. 51
- hkl 1 1 2, 2θ = 29.85°, rel. 49
- hkl 0 0 4, 2θ = 42.10°, rel. 26
- hkl 0 2 -4, 2θ = 51.39°, rel. 28
- hkl 3 1 -2, 2θ = 52.16°, rel. 29